Structure and simulated powder diffraction line list of PbCl (a DFT-relaxed cell (PBE, Alexandria); Cu Kα (λ = 1.5418 Å)).
Kinematic intensities with the Lorentz-polarization factor, no thermal factor.

Most intense lines, 15 to 90 degrees two-theta, low angle first:
d (Å)  2θ (°)  intensity
3.500  25.45  191
3.185  28.02  273
3.048  29.30  531
2.723  32.89  1000
2.356  38.21  157
2.026  44.74  265
1.839  49.57  227
1.753  52.17  161
1.524  60.78  172
1.173  82.15  152

Atomic structure:
```
data_PbCl
_chemical_formula_sum 'Pb2 Cl2'
_space_group_name_H-M_alt 'P -3 m 1'
_space_group_IT_number 164
_space_group_name_Hall '-P 3 2"'
_cell_length_a 3.6776
_cell_length_b 3.6776
_cell_length_c 10.5004
_cell_angle_alpha 90.00
_cell_angle_beta 90.00
_cell_angle_gamma 120.00
loop_
_atom_site_label
_atom_site_fract_x
_atom_site_fract_y
_atom_site_fract_z
_atom_site_occupancy
Pb1 0.3333 0.6667 0.1493 1
Cl1 0.3333 0.6667 0.6636 1
```

---

Structure and simulated powder diffraction line list of PbCl5 (a DFT-relaxed cell (PBE, Alexandria); Cu Kα (λ = 1.5418 Å)).
Kinematic intensities with the Lorentz-polarization factor, no thermal factor.

Most intense lines, 15 to 90 degrees two-theta, low angle first:
d (Å)  2θ (°)  intensity
5.005  17.72  653
4.560  19.47  362
3.911  22.74  560
3.891  22.86  427
3.357  26.55  839
3.319  26.86  1000
2.710  33.05  355
2.631  34.08  433
2.451  36.67  348
2.169  41.65  583

Atomic structure:
```
data_PbCl5
_chemical_formula_sum 'Pb2 Cl10'
_space_group_name_H-M_alt 'C 1 m 1'
_space_group_IT_number 8
_cell_length_a 10.0157
_cell_length_b 4.3547
_cell_length_c 10.2697
_cell_angle_alpha 90.00
_cell_angle_beta 117.37
_cell_angle_gamma 90.00
loop_
_space_group_symop_operation_xyz
'x,y,z'
'x,-y,z'
'x+1/2,y+1/2,z'
'x+1/2,-y+1/2,z'
loop_
_atom_site_label
_atom_site_fract_x
_atom_site_fract_y
_atom_site_fract_z
_atom_site_occupancy
Pb1 0.0000 0.0000 0.0000 1
Cl1 0.0174 0.0000 0.7353 1
Cl2 0.0238 0.5000 0.3167 1
Cl3 0.2136 0.5000 0.0757 1
Cl4 0.2425 0.5000 0.4699 1
Cl5 0.3040 0.0000 0.8189 1
```